Diffraction record for Li3NpCl9. The PXRD pattern is simulated, not measured: it uses a PBE-relaxed structure and Cu Kα.

Top 10 peaks for 5 to 70 degrees two-theta, sorted by position:
11.74 deg, d = 7.538 Å, rel. 18
11.95 deg, d = 7.408 Å, rel. 100
12.75 deg, d = 6.942 Å, rel. 39
15.10 deg, d = 5.867 Å, rel. 16
15.72 deg, d = 5.636 Å, rel. 59
19.62 deg, d = 4.525 Å, rel. 15
21.71 deg, d = 4.094 Å, rel. 25
24.02 deg, d = 3.705 Å, rel. 14
25.39 deg, d = 3.508 Å, rel. 16
28.35 deg, d = 3.148 Å, rel. 14

Cell and atoms:
```
Li3NpCl9
1.0
9.0710 -4.3765 0.0000
9.0710 4.3765 0.0000
-8.2721 0.0000 11.7349
Li Np Cl
6 2 18
direct
0.1295 0.8705 0.5000
0.2902 0.8790 0.2838
0.3763 0.9925 0.1799
0.8705 0.1295 0.0000
0.8790 0.2902 0.7838
0.9925 0.3763 0.6799
0.1651 0.5166 0.5983
0.5166 0.1651 0.0983
0.0532 0.6280 0.4384
0.0563 0.0994 0.6563
0.0994 0.0563 0.1563
0.2204 0.7840 0.3564
0.2213 0.3659 0.0014
0.2689 0.4063 0.7570
0.3659 0.2213 0.5014
0.3964 0.6023 0.6954
0.4063 0.2689 0.2570
0.4288 0.9293 0.0032
0.5606 0.8161 0.2955
0.6023 0.3964 0.1954
0.6280 0.0532 0.9384
0.7840 0.2204 0.8564
0.8081 0.9643 0.1949
0.8161 0.5606 0.7955
0.9293 0.4288 0.5032
0.9643 0.8081 0.6949
```

=====

Diffraction record for PmNi5SnGe2. The PXRD pattern is simulated, not measured: it uses a PBE-relaxed structure and Cu Kα.

Top 10 peaks for 5 to 70 degrees two-theta, sorted by position:
24.16 deg, d = 3.684 Å, rel. 21
28.75 deg, d = 3.105 Å, rel. 100
34.76 deg, d = 2.581 Å, rel. 38
37.59 deg, d = 2.393 Å, rel. 49
41.95 deg, d = 2.154 Å, rel. 26
47.50 deg, d = 1.914 Å, rel. 66
48.50 deg, d = 1.877 Å, rel. 59
49.48 deg, d = 1.842 Å, rel. 18
53.98 deg, d = 1.699 Å, rel. 19
57.36 deg, d = 1.606 Å, rel. 29

Cell and atoms:
```
PmNi5SnGe2
1.0
3.7542 0.0000 0.0000
0.0000 3.7542 0.0000
0.0000 0.0000 11.0520
Pm Ni Sn Ge
1 5 1 2
direct
0.0000 0.0000 0.0000
0.0000 0.5000 0.3342
0.0000 0.5000 0.6658
0.5000 0.0000 0.3342
0.5000 0.0000 0.6658
0.5000 0.5000 0.0000
0.0000 0.0000 0.5000
0.5000 0.5000 0.2068
0.5000 0.5000 0.7932
```

=====

Diffraction record for Ca3P2Ir3. The PXRD pattern is simulated, not measured: it uses a PBE-relaxed structure and Cu Kα.

Top 10 peaks for 5 to 70 degrees two-theta, sorted by position:
19.76 deg, d = 4.493 Å, rel. 87
24.42 deg, d = 3.645 Å, rel. 46
27.02 deg, d = 3.299 Å, rel. 93
29.81 deg, d = 2.997 Å, rel. 60
31.61 deg, d = 2.831 Å, rel. 50
34.03 deg, d = 2.635 Å, rel. 47
34.31 deg, d = 2.614 Å, rel. 61
39.01 deg, d = 2.309 Å, rel. 100
39.13 deg, d = 2.302 Å, rel. 46
48.15 deg, d = 1.890 Å, rel. 54

Cell and atoms:
```
Ca3P2Ir3
1.0
7.6136 0.0000 0.0000
0.0000 14.5816 0.0000
0.0000 0.0000 5.5657
Ca P Ir
12 8 12
direct
0.0201 0.1103 0.1210
0.0201 0.3897 0.1210
0.1748 0.2500 0.5754
0.3252 0.7500 0.0754
0.4799 0.6103 0.6210
0.4799 0.8897 0.6210
0.5201 0.1103 0.3790
0.5201 0.3897 0.3790
0.6748 0.2500 0.9246
0.8252 0.7500 0.4246
0.9799 0.6103 0.8790
0.9799 0.8897 0.8790
0.1366 0.5992 0.3852
0.1366 0.9008 0.3852
0.3634 0.0992 0.8852
0.3634 0.4008 0.8852
0.6366 0.5992 0.1148
0.6366 0.9008 0.1148
0.8634 0.0992 0.6148
0.8634 0.4008 0.6148
0.1518 0.0397 0.6152
0.1518 0.4603 0.6152
0.1779 0.7500 0.5398
0.3221 0.2500 0.0398
0.3482 0.5397 0.1152
0.3482 0.9603 0.1152
0.6518 0.0397 0.8848
0.6518 0.4603 0.8848
0.6779 0.7500 0.9602
0.8221 0.2500 0.4602
0.8482 0.5397 0.3848
0.8482 0.9603 0.3848
```

=====

Diffraction record for NiAsAu. The PXRD pattern is simulated, not measured: it uses a PBE-relaxed structure and Cu Kα.

Top 10 peaks for 5 to 70 degrees two-theta, sorted by position:
22.50 deg, d = 3.951 Å, rel. 47
30.34 deg, d = 2.946 Å, rel. 65
30.66 deg, d = 2.916 Å, rel. 30
36.92 deg, d = 2.434 Å, rel. 29
38.36 deg, d = 2.346 Å, rel. 17
40.81 deg, d = 2.211 Å, rel. 37
43.67 deg, d = 2.073 Å, rel. 100
47.10 deg, d = 1.929 Å, rel. 14
50.61 deg, d = 1.804 Å, rel. 23
51.90 deg, d = 1.762 Å, rel. 14

Cell and atoms:
```
NiAsAu
1.0
2.9162 0.0000 0.0000
0.0000 4.4219 0.0000
0.0000 0.0000 3.9509
Ni As Au
1 1 1
direct
0.0000 0.0000 0.0000
0.5000 0.0000 0.4713
0.5000 0.5000 0.8475
```

=====

Diffraction record for NaDyPb3. The PXRD pattern is simulated, not measured: it uses a PBE-relaxed structure and Cu Kα.

Top 10 peaks for 5 to 70 degrees two-theta, sorted by position:
6.26 deg, d = 14.126 Å, rel. 100
30.32 deg, d = 2.948 Å, rel. 66
30.68 deg, d = 2.914 Å, rel. 92
31.67 deg, d = 2.825 Å, rel. 84
33.52 deg, d = 2.674 Å, rel. 71
33.88 deg, d = 2.646 Å, rel. 81
39.57 deg, d = 2.278 Å, rel. 27
40.10 deg, d = 2.249 Å, rel. 60
47.50 deg, d = 1.914 Å, rel. 38
66.49 deg, d = 1.406 Å, rel. 36

Cell and atoms:
```
NaDyPb3
1.0
6.4875 0.0000 0.0000
0.0000 14.1256 0.0000
-0.0094 0.0000 6.3973
Na Dy Pb
4 4 12
direct
0.0000 0.1019 0.2500
0.0000 0.8981 0.7500
0.5000 0.1018 0.2500
0.5000 0.8982 0.7500
0.2504 0.3162 0.5027
0.2504 0.6838 0.0027
0.7496 0.3162 0.9973
0.7496 0.6838 0.4973
0.0000 0.4952 0.7500
0.0000 0.5048 0.2500
0.2500 0.1061 0.7107
0.2497 0.2891 0.0111
0.2497 0.7109 0.5111
0.2500 0.8939 0.2107
0.5000 0.4954 0.7500
0.5000 0.5046 0.2500
0.7500 0.1061 0.7893
0.7503 0.2891 0.4889
0.7503 0.7109 0.9889
0.7500 0.8939 0.2893
```

=====

Diffraction record for PmSmIn3. The PXRD pattern is simulated, not measured: it uses a PBE-relaxed structure and Cu Kα.

Top 10 peaks for 5 to 70 degrees two-theta, sorted by position:
7.86 deg, d = 11.248 Å, rel. 100
15.54 deg, d = 5.702 Å, rel. 65
26.62 deg, d = 3.348 Å, rel. 27
30.33 deg, d = 2.947 Å, rel. 46
31.38 deg, d = 2.851 Å, rel. 45
31.71 deg, d = 2.822 Å, rel. 55
36.12 deg, d = 2.487 Å, rel. 33
39.63 deg, d = 2.274 Å, rel. 51
46.46 deg, d = 1.954 Å, rel. 34
67.17 deg, d = 1.394 Å, rel. 22

Cell and atoms:
```
PmSmIn3
1.0
-2.9470 2.9470 11.2480
2.9470 -2.9470 11.2480
2.9470 2.9470 -11.2480
Pm Sm In
2 2 6
direct
0.0000 0.0000 0.0000
0.7500 0.2500 0.5000
0.4180 0.4180 0.0000
0.5820 0.5820 0.0000
0.0026 0.5026 0.5000
0.3744 0.1276 0.2468
0.4974 0.9974 0.5000
0.8724 0.1192 0.2468
0.8724 0.6256 0.7532
0.8808 0.1276 0.7532
```